1.
# CsTbFeSe3
Theoretical powder X-ray diffraction pattern, Cu Kα, 1.54184 Å. Input: DFT lattice parameters and positions (GGA-PBE).
Peak positions follow from Bragg's law for the DFT cell and can differ from measured ones.

Peak list (10 most intense, 10 to 90 degrees two-theta, in order of rising 2θ)
10.9°, I 75; 19.6°, I 50; 27.0°, I 72; 28.3°, I 100; 31.7°, I 40; 32.9°, I 36; 38.9°, I 58; 39.9°, I 44; 50.2°, I 33; 51.7°, I 36

Atomic structure:
```
CsTbFeSe3
1.0
2.082 -8.113 0.000
2.082 8.113 0.000
0.000 0.000 10.880
Cs Tb Fe Se
2 2 2 6
Cartesian
2.082 4.190 8.160 Cs
2.082 -4.190 2.720 Cs
2.082 0.000 0.000 Tb
2.082 0.000 5.440 Tb
2.082 7.591 2.720 Fe
2.082 -7.591 8.160 Fe
2.082 6.236 0.705 Se
2.082 6.236 4.735 Se
2.082 0.913 2.720 Se
2.082 -0.913 8.160 Se
2.082 -6.236 6.145 Se
2.082 -6.236 10.175 Se
```

=====

2.
# Cs2GaIrSe4
Theoretical powder X-ray diffraction pattern, Cu Kα, 1.54184 Å. Input: DFT lattice parameters and positions (GGA-PBE).
Peak positions follow from Bragg's law for the DFT cell and can differ from measured ones.

Peak list (10 most intense, 10 to 90 degrees two-theta, in order of rising 2θ)
14.4°, I 66; 15.1°, I 65; 15.8°, I 30; 24.4°, I 65; 25.5°, I 75; 27.8°, I 100; 32.0°, I 40; 33.2°, I 63; 44.7°, I 33; 45.3°, I 26

Atomic structure:
```
Cs2GaIrSe4
1.0
3.775 -6.157 0.000
3.775 6.157 0.000
-3.303 0.000 6.353
Cs Ga Ir Se
2 1 1 4
Cartesian
0.000 0.000 0.000 Cs
2.123 -2.643 3.177 Cs
3.775 1.688 0.000 Ga
2.123 1.796 3.177 Ir
1.935 2.955 1.072 Se
0.344 0.525 4.178 Se
2.311 2.955 5.281 Se
3.902 0.525 2.175 Se
```

=====

3.
# CsGaNiS3
Theoretical powder X-ray diffraction pattern, Cu Kα, 1.54184 Å. Input: DFT lattice parameters and positions (GGA-PBE).
Peak positions follow from Bragg's law for the DFT cell and can differ from measured ones.

Peak list (10 most intense, 10 to 90 degrees two-theta, in order of rising 2θ)
16.9°, I 28; 20.8°, I 57; 25.9°, I 72; 29.8°, I 34; 30.0°, I 42; 31.2°, I 100; 34.1°, I 51; 35.5°, I 42; 50.0°, I 38; 53.3°, I 30

Atomic structure:
```
CsGaNiS3
1.0
1.884 -7.295 0.000
1.884 7.295 0.000
0.000 0.000 10.509
Cs Ga Ni S
2 2 2 6
Cartesian
1.884 4.015 5.254 Cs
1.884 -4.015 0.000 Cs
1.884 0.036 7.986 Ga
1.884 -0.036 2.732 Ga
1.884 6.347 10.488 Ni
1.884 -6.347 5.233 Ni
1.884 5.733 2.113 S
1.884 5.713 8.361 S
1.884 0.138 10.438 S
1.884 -0.138 5.184 S
1.884 -5.713 3.106 S
1.884 -5.733 7.368 S
```

=====

4.
# Cs2ZrGaSe4
Theoretical powder X-ray diffraction pattern, Cu Kα, 1.54184 Å. Input: DFT lattice parameters and positions (GGA-PBE).
Peak positions follow from Bragg's law for the DFT cell and can differ from measured ones.

Peak list (10 most intense, 10 to 90 degrees two-theta, in order of rising 2θ)
13.8°, I 44; 23.3°, I 64; 24.0°, I 57; 26.4°, I 100; 30.6°, I 32; 33.9°, I 48; 42.3°, I 23; 44.3°, I 22; 45.7°, I 18; 46.5°, I 20

Atomic structure:
```
Cs2ZrGaSe4
1.0
4.055 -6.430 0.000
4.055 6.430 0.000
-2.758 0.000 6.145
Cs Zr Ga Se
2 1 1 4
Cartesian
0.000 0.000 0.000 Cs
2.676 -2.762 3.072 Cs
2.676 1.883 3.072 Zr
4.055 1.789 0.000 Ga
2.137 3.176 0.920 Se
0.740 0.499 4.015 Se
3.215 3.176 5.225 Se
4.612 0.499 2.130 Se
```

=====

5.
# CsTmGaTe3
Theoretical powder X-ray diffraction pattern, Cu Kα, 1.54184 Å. Input: DFT lattice parameters and positions (GGA-PBE).
Peak positions follow from Bragg's law for the DFT cell and can differ from measured ones.

Peak list (10 most intense, 10 to 90 degrees two-theta, in order of rising 2θ)
10.6°, I 81; 24.6°, I 47; 25.3°, I 32; 25.8°, I 100; 29.1°, I 56; 30.7°, I 44; 36.4°, I 63; 37.7°, I 59; 46.4°, I 48; 48.8°, I 30

Atomic structure:
```
CsTmGaTe3
1.0
2.388 -8.311 0.000
2.388 8.311 0.000
0.000 0.000 11.647
Cs Tm Ga Te
2 2 2 6
Cartesian
2.388 4.151 8.736 Cs
2.388 -4.151 2.912 Cs
0.000 0.000 0.000 Tm
0.000 0.000 5.824 Tm
2.388 0.416 2.912 Ga
2.388 -0.416 8.736 Ga
2.388 7.335 2.912 Te
2.388 1.955 0.604 Te
2.388 1.955 5.219 Te
2.388 -1.955 6.428 Te
2.388 -1.955 11.043 Te
2.388 -7.335 8.736 Te
```

=====

6.
# CsZnGa
Theoretical powder X-ray diffraction pattern, Cu Kα, 1.54184 Å. Input: DFT lattice parameters and positions (GGA-PBE).
Peak positions follow from Bragg's law for the DFT cell and can differ from measured ones.

Peak list (10 most intense, 10 to 90 degrees two-theta, in order of rising 2θ)
19.8°, I 27; 22.9°, I 27; 32.5°, I 100; 38.4°, I 15; 40.1°, I 8; 46.7°, I 18; 52.6°, I 11; 58.1°, I 37; 68.2°, I 11; 77.6°, I 15

Atomic structure:
```
CsZnGa
1.0
0.000 3.891 3.891
3.891 0.000 3.891
3.891 3.891 0.000
Cs Zn Ga
1 1 1
Cartesian
0.000 0.000 0.000 Cs
3.891 3.891 3.891 Zn
1.946 1.946 1.946 Ga
```

=====

Copy entry 4 word for word.
# Cs2ZrGaSe4
Theoretical powder X-ray diffraction pattern, Cu Kα, 1.54184 Å. Input: DFT lattice parameters and positions (GGA-PBE).
Peak positions follow from Bragg's law for the DFT cell and can differ from measured ones.

Peak list (10 most intense, 10 to 90 degrees two-theta, in order of rising 2θ)
13.8°, I 44; 23.3°, I 64; 24.0°, I 57; 26.4°, I 100; 30.6°, I 32; 33.9°, I 48; 42.3°, I 23; 44.3°, I 22; 45.7°, I 18; 46.5°, I 20

Atomic structure:
```
Cs2ZrGaSe4
1.0
4.055 -6.430 0.000
4.055 6.430 0.000
-2.758 0.000 6.145
Cs Zr Ga Se
2 1 1 4
Cartesian
0.000 0.000 0.000 Cs
2.676 -2.762 3.072 Cs
2.676 1.883 3.072 Zr
4.055 1.789 0.000 Ga
2.137 3.176 0.920 Se
0.740 0.499 4.015 Se
3.215 3.176 5.225 Se
4.612 0.499 2.130 Se
```